Record 1
Simulated PXRD pattern of NaTmPd6O8 for λ = 1.5418 Å (Cu Kα), from a crystal structure in OQMD, relaxed with GGA-PBE.

The 6 most intense peaks (2θ from 15° to 90°), sorted by position:
2theta	I (rel.)	(hkl)
15.36	21	1 0 0
34.78	100	2 1 0
38.23	62	2 1 1
57.63	24	3 0 2
60.02	33	3 1 2
75.55	20	4 2 1

```
data_NaTmPd6O8
_space_group_name_H-M_alt 'P m -3'
_space_group_IT_number 200
_space_group_name_Hall '-P 2 2 3'
_cell_length_a 5.767
_cell_length_b 5.767
_cell_length_c 5.767
_cell_angle_alpha 90.00
_cell_angle_beta 90.00
_cell_angle_gamma 90.00
loop_
_atom_site_label
_atom_site_fract_x
_atom_site_fract_y
_atom_site_fract_z
Na1 0.000 0.000 0.000
Tm1 0.500 0.500 0.500
Pd1 0.000 0.500 0.250
O1 0.261 0.261 0.261
```

---

Record 2
Simulated PXRD pattern of GdDyMg3Fe2 for λ = 1.5418 Å (Cu Kα), from a crystal structure in OQMD, relaxed with GGA-PBE.

The 6 most intense peaks (2θ from 15° to 90°), sorted by position:
2theta	I (rel.)	(hkl)
26.07	47	0 1 3
33.57	56	1 1 1
35.11	79	1 0 6
35.72	100	1 1 3
39.70	53	1 1 5
59.56	34	1 2 6

```
data_GdDyMg3Fe2
_space_group_name_H-M_alt 'A m m 2'
_space_group_IT_number 38
_space_group_name_Hall 'A 2 -2'
_cell_length_a 3.711
_cell_length_b 3.907
_cell_length_c 21.149
_cell_angle_alpha 90.00
_cell_angle_beta 90.00
_cell_angle_gamma 90.00
loop_
_atom_site_label
_atom_site_fract_x
_atom_site_fract_y
_atom_site_fract_z
Gd1 0.000 0.000 0.000
Dy1 0.000 0.000 0.653
Mg1 0.000 0.000 0.827
Mg2 0.500 0.000 0.247
Mg3 0.500 0.000 0.406
Fe1 0.500 0.000 0.108
Fe2 0.500 0.000 0.547
```

---

Record 3
Simulated PXRD pattern of KTbSiS4 for λ = 1.5418 Å (Cu Kα), from a crystal structure in OQMD, relaxed with GGA-PBE.

The 6 most intense peaks (2θ from 15° to 90°), sorted by position:
2theta	I (rel.)	(hkl)
19.73	100	1 1 0
26.93	56	0 2 0
30.62	67	2 0 -2
32.52	83	1 1 2
33.53	57	2 1 -2
40.09	56	2 2 0

```
data_KTbSiS4
_space_group_name_H-M_alt 'P 1 21 1'
_space_group_IT_number 4
_space_group_name_Hall 'P 2yb'
_cell_length_a 6.433
_cell_length_b 6.622
_cell_length_c 8.670
_cell_angle_alpha 90.00
_cell_angle_beta 107.64
_cell_angle_gamma 90.00
loop_
_atom_site_label
_atom_site_fract_x
_atom_site_fract_y
_atom_site_fract_z
K1 0.231 0.000 0.435
Tb1 0.270 0.019 0.950
Si1 0.279 0.482 0.175
S1 0.080 0.426 0.933
S2 0.083 0.484 0.331
S3 0.476 0.748 0.201
S4 0.479 0.750 0.778
```

---

Record 4
Simulated PXRD pattern of Cu3Ag4 for λ = 1.5418 Å (Cu Kα), from a crystal structure in OQMD, relaxed with GGA-PBE.

The 6 most intense peaks (2θ from 15° to 90°), sorted by position:
2theta	I (rel.)	(hkl)
39.60	100	1 0 7
44.87	38	1 1 0
48.32	10	0 0 14
65.34	12	2 0 0
68.06	13	1 1 14
79.17	24	2 1 7

```
data_Cu3Ag4
_space_group_name_H-M_alt 'I 4 m m'
_space_group_IT_number 107
_space_group_name_Hall 'I 4 -2'
_cell_length_a 2.857
_cell_length_b 2.857
_cell_length_c 26.369
_cell_angle_alpha 90.00
_cell_angle_beta 90.00
_cell_angle_gamma 90.00
loop_
_atom_site_label
_atom_site_fract_x
_atom_site_fract_y
_atom_site_fract_z
Cu1 0.000 0.000 0.000
Cu2 0.000 0.000 0.141
Cu3 0.000 0.000 0.698
Ag1 0.000 0.000 0.268
Ag2 0.000 0.000 0.431
Ag3 0.000 0.000 0.570
Ag4 0.000 0.000 0.850
```

---

Record 5
Simulated PXRD pattern of CsRb5Zn2O5 for λ = 1.5418 Å (Cu Kα), from a crystal structure in OQMD, relaxed with GGA-PBE.

The 6 most intense peaks (2θ from 15° to 90°), sorted by position:
2theta	I (rel.)	(hkl)
29.30	81	2 2 0
29.84	100	0 4 0
32.54	14	2 2 1
35.58	14	2 0 -2
37.11	34	2 0 2
47.61	15	1 5 -2

```
data_CsRb5Zn2O5
_space_group_name_H-M_alt 'C 1 m 1'
_space_group_IT_number 8
_space_group_name_Hall 'C -2y'
_cell_length_a 7.081
_cell_length_b 12.000
_cell_length_c 6.908
_cell_angle_alpha 90.00
_cell_angle_beta 92.38
_cell_angle_gamma 90.00
loop_
_atom_site_label
_atom_site_fract_x
_atom_site_fract_y
_atom_site_fract_z
Cs1 0.000 0.000 0.000
Rb1 0.194 0.500 0.381
Rb2 0.342 0.234 0.696
Rb3 0.344 0.214 0.204
Zn1 0.051 0.500 0.873
Zn2 0.146 0.000 0.501
O1 0.036 0.138 0.429
O2 0.141 0.362 0.974
O3 0.392 0.000 0.637
```

---

Record 6
Simulated PXRD pattern of CuAg2 for λ = 1.5418 Å (Cu Kα), from a crystal structure in OQMD, relaxed with GGA-PBE.

The 6 most intense peaks (2θ from 15° to 90°), sorted by position:
2theta	I (rel.)	(hkl)
38.79	100	3 1 0
39.03	49	0 0 3
39.42	47	6 0 -3
44.95	65	3 1 -3
46.14	29	6 0 0
66.12	19	3 1 3

```
data_CuAg2
_space_group_name_H-M_alt 'C 1 m 1'
_space_group_IT_number 8
_space_group_name_Hall 'C -2y'
_cell_length_a 14.470
_cell_length_b 2.876
_cell_length_c 8.486
_cell_angle_alpha 90.00
_cell_angle_beta 125.34
_cell_angle_gamma 90.00
loop_
_atom_site_label
_atom_site_fract_x
_atom_site_fract_y
_atom_site_fract_z
Cu1 0.000 0.000 0.000
Cu2 0.004 0.000 0.338
Cu3 0.163 0.500 0.654
Ag1 0.006 0.000 0.662
Ag2 0.156 0.500 0.325
Ag3 0.163 0.500 0.996
Ag4 0.333 0.000 0.670
Ag5 0.337 0.000 0.330
Ag6 0.340 0.000 0.002
```

---

Record 7
Simulated PXRD pattern of Sr2ReMoC6 for λ = 1.5418 Å (Cu Kα), from a crystal structure in OQMD, relaxed with GGA-PBE.

The 6 most intense peaks (2θ from 15° to 90°), sorted by position:
2theta	I (rel.)	(hkl)
30.64	100	2 0 0
43.89	26	2 2 0
54.47	40	3 1 2
63.80	16	4 0 0
72.43	17	4 2 0
88.71	21	4 2 4

```
data_Sr2ReMoC6
_space_group_name_H-M_alt 'I 4/m'
_space_group_IT_number 87
_space_group_name_Hall '-I 4'
_cell_length_a 5.834
_cell_length_b 5.834
_cell_length_c 8.255
_cell_angle_alpha 90.00
_cell_angle_beta 90.00
_cell_angle_gamma 90.00
loop_
_atom_site_label
_atom_site_fract_x
_atom_site_fract_y
_atom_site_fract_z
Sr1 0.000 0.500 0.250
Re1 0.000 0.000 0.000
Mo1 0.000 0.000 0.500
C1 0.000 0.000 0.248
C2 0.242 0.746 0.000
```

---

Record 8
Simulated PXRD pattern of Gd3In3NiAgIr for λ = 1.5418 Å (Cu Kα), from a crystal structure in OQMD, relaxed with GGA-PBE.

The 6 most intense peaks (2θ from 15° to 90°), sorted by position:
2theta	I (rel.)	(hkl)
32.84	100	1 1 1
35.41	56	2 1 0
35.53	78	2 0 1
40.34	32	3 0 0
42.74	29	1 2 1
65.33	28	3 2 1

```
data_Gd3In3NiAgIr
_space_group_name_H-M_alt 'P -6'
_space_group_IT_number 174
_space_group_name_Hall 'P -6'
_cell_length_a 7.7450
_cell_length_b 7.7450
_cell_length_c 3.8413
_cell_angle_alpha 90.00
_cell_angle_beta 90.00
_cell_angle_gamma 120.00
loop_
_atom_site_label
_atom_site_fract_x
_atom_site_fract_y
_atom_site_fract_z
Gd1 0.0868 0.7278 0.0000
In1 0.4179 0.0884 0.5000
Ni1 0.6667 0.3333 0.0000
Ag1 0.0000 0.0000 0.5000
Ir1 0.3333 0.6667 0.5000
```

---

Record 9
Simulated PXRD pattern of LaNp2P3 for λ = 1.5418 Å (Cu Kα), from a crystal structure in OQMD, relaxed with GGA-PBE.

The 6 most intense peaks (2θ from 15° to 90°), sorted by position:
2theta	I (rel.)	(hkl)
26.94	100	0 1 1
31.20	99	1 0 2
44.71	71	1 1 0
52.96	39	1 1 3
55.56	20	0 2 2
82.46	18	3 0 0

```
data_LaNp2P3
_space_group_name_H-M_alt 'P -3 m 1'
_space_group_IT_number 164
_space_group_name_Hall '-P 3 2"'
_cell_length_a 4.0502
_cell_length_b 4.0502
_cell_length_c 9.9466
_cell_angle_alpha 90.00
_cell_angle_beta 90.00
_cell_angle_gamma 120.00
loop_
_atom_site_label
_atom_site_fract_x
_atom_site_fract_y
_atom_site_fract_z
La1 0.0000 0.0000 0.0000
Np1 0.3333 0.6667 0.3414
P1 0.0000 0.0000 0.5000
P2 0.3333 0.6667 0.8134
```

---

Record 10
Simulated PXRD pattern of Li4Ga3Hg for λ = 1.5418 Å (Cu Kα), from a crystal structure in OQMD, relaxed with GGA-PBE.

The 6 most intense peaks (2θ from 15° to 90°), sorted by position:
2theta	I (rel.)	(hkl)
24.55	100	1 0 1
40.54	60	1 1 2
40.78	29	2 0 0
47.76	17	1 0 3
48.18	33	2 1 1
74.08	20	3 1 2

```
data_Li4Ga3Hg
_space_group_name_H-M_alt 'P -4 m 2'
_space_group_IT_number 115
_space_group_name_Hall 'P -4 -2'
_cell_length_a 4.425
_cell_length_b 4.425
_cell_length_c 6.329
_cell_angle_alpha 90.00
_cell_angle_beta 90.00
_cell_angle_gamma 90.00
loop_
_atom_site_label
_atom_site_fract_x
_atom_site_fract_y
_atom_site_fract_z
Li1 0.000 0.000 0.000
Li2 0.000 0.500 0.742
Li3 0.500 0.500 0.500
Ga1 0.000 0.000 0.500
Ga2 0.000 0.500 0.259
Hg1 0.500 0.500 0.000
```

---

Record 11
Simulated PXRD pattern of GdDy2Al7Ag2 for λ = 1.5418 Å (Cu Kα), from a crystal structure in OQMD, relaxed with GGA-PBE.

The 6 most intense peaks (2θ from 15° to 90°), sorted by position:
2theta	I (rel.)	(hkl)
20.23	37	0 0 6
30.15	29	1 0 7
32.23	85	1 1 0
32.97	19	0 1 8
38.35	100	1 1 6
61.58	24	0 3 6

```
data_GdDy2Al7Ag2
_space_group_name_H-M_alt 'R -3 m'
_space_group_IT_number 166
_space_group_name_Hall '-R 3 2"'
_cell_length_a 5.5542
_cell_length_b 5.5542
_cell_length_c 26.3426
_cell_angle_alpha 90.00
_cell_angle_beta 90.00
_cell_angle_gamma 120.00
loop_
_atom_site_label
_atom_site_fract_x
_atom_site_fract_y
_atom_site_fract_z
Gd1 0.0000 0.0000 0.0000
Dy1 0.0000 0.0000 0.1423
Al1 0.0000 0.0000 0.5000
Al2 0.0081 0.5041 0.9161
Ag1 0.0000 0.0000 0.3358
```

---

Record 12
Simulated PXRD pattern of Pr2GaSiI2 for λ = 1.5418 Å (Cu Kα), from a crystal structure in OQMD, relaxed with GGA-PBE.

The 6 most intense peaks (2θ from 15° to 90°), sorted by position:
2theta	I (rel.)	(hkl)
25.39	51	1 0 1
28.27	45	1 0 2
32.56	100	1 0 3
42.86	45	1 1 0
54.84	22	0 2 3
62.59	27	1 1 6

```
data_Pr2GaSiI2
_space_group_name_H-M_alt 'P 3 m 1'
_space_group_IT_number 156
_space_group_name_Hall 'P 3 -2"'
_cell_length_a 4.2200
_cell_length_b 4.2200
_cell_length_c 12.5279
_cell_angle_alpha 90.00
_cell_angle_beta 90.00
_cell_angle_gamma 120.00
loop_
_atom_site_label
_atom_site_fract_x
_atom_site_fract_y
_atom_site_fract_z
Pr1 0.0000 0.0000 0.0000
Pr2 0.0000 0.0000 0.3359
Ga1 0.3333 0.6667 0.1830
Si1 0.6667 0.3333 0.1547
I1 0.3333 0.6667 0.8303
I2 0.6667 0.3333 0.5063
```

---

What is the formula in the tenth record?
Li4Ga3Hg